The following is a calculated powder diffraction line list of In3P2O8. It was derived from the GGA-PBE geometry in Alexandria, using a wavelength of 1.5418 Å.
No peak broadening, texture or thermal motion is included.

Crystal structure
```
data_In3P2O8
_chemical_formula_sum 'In12 P8 O32'
_symmetry_space_group_name_H-M 'P 1'
_symmetry_Int_Tables_number 1
_cell_length_a 9.8019
_cell_length_b 9.8019
_cell_length_c 9.8019
_cell_angle_alpha 109.47
_cell_angle_beta 109.47
_cell_angle_gamma 109.47
loop_
_symmetry_equiv_pos_as_xyz
'x,y,z'
loop_
_atom_site_label
_atom_site_type_symbol
_atom_site_fract_x
_atom_site_fract_y
_atom_site_fract_z
In1 In 0.0055 0.7555 0.2500
In2 In 0.2445 0.9945 0.2500
In3 In 0.2500 0.0055 0.7555
In4 In 0.2500 0.2445 0.9945
In5 In 0.2555 0.5055 0.7500
In6 In 0.4945 0.7445 0.7500
In7 In 0.5055 0.7500 0.2555
In8 In 0.7445 0.7500 0.4945
In9 In 0.7500 0.2555 0.5055
In10 In 0.7500 0.4945 0.7445
In11 In 0.7555 0.2500 0.0055
In12 In 0.9945 0.2500 0.2445
P1 P 0.0000 0.0915 0.5000
P2 P 0.0000 0.5915 0.5000
P3 P 0.0915 0.5000 0.0000
P4 P 0.4085 0.4085 0.4085
P5 P 0.5000 0.0000 0.0915
P6 P 0.5000 0.0000 0.5915
P7 P 0.5915 0.5000 0.0000
P8 P 0.9085 0.9085 0.9085
O1 O 0.0000 0.4298 0.5000
O2 O 0.0000 0.9298 0.5000
O3 O 0.0055 0.5878 0.3429
O4 O 0.0702 0.0702 0.0702
O5 O 0.0823 0.3374 0.9945
O6 O 0.0878 0.5055 0.8429
O7 O 0.1571 0.7449 0.6626
O8 O 0.1626 0.2449 0.6571
O9 O 0.2449 0.6571 0.1626
O10 O 0.2551 0.4177 0.4122
O11 O 0.3374 0.9945 0.0823
O12 O 0.3429 0.0055 0.5878
O13 O 0.4122 0.2551 0.4177
O14 O 0.4177 0.4122 0.2551
O15 O 0.4298 0.5000 0.0000
O16 O 0.4945 0.8374 0.5823
O17 O 0.5000 0.0000 0.4298
O18 O 0.5000 0.0000 0.9298
O19 O 0.5055 0.8429 0.0878
O20 O 0.5702 0.5702 0.5702
O21 O 0.5823 0.4945 0.8374
O22 O 0.5878 0.3429 0.0055
O23 O 0.6571 0.1626 0.2449
O24 O 0.6626 0.1571 0.7449
O25 O 0.7449 0.6626 0.1571
O26 O 0.7551 0.9122 0.9177
O27 O 0.8374 0.5823 0.4945
O28 O 0.8429 0.0878 0.5055
O29 O 0.9122 0.9177 0.7551
O30 O 0.9177 0.7551 0.9122
O31 O 0.9298 0.5000 0.0000
O32 O 0.9945 0.0823 0.3374
```

Top 10 peaks for 10° ≤ 2θ ≤ 90°, by angle:
d_spacing, I (rel.)
4.621, 72
3.025, 100
2.830, 68
2.413, 22
2.066, 30
2.001, 54
1.836, 23
1.634, 23
1.437, 17
1.265, 18